Record 1
# Cs23K6Li
Computed X-ray powder pattern, copper Kα. Input: a crystal structure in Alexandria, relaxed with GGA-PBE.
Peak positions follow from Bragg's law for the DFT cell and can differ from measured ones.

Peak list (10 most intense, 2θ from 10° to 80°, by intensity)
- d 4.139, intensity 100
- d 2.390, intensity 38
- d 2.927, intensity 18
- d 1.564, intensity 14
- d 1.851, intensity 14
- d 2.069, intensity 11
- d 6.759, intensity 9
- d 5.853, intensity 8
- d 4.506, intensity 6
- d 2.263, intensity 6

Crystal structure
```
Cs23K6Li
1.0
0.0000 11.7067 11.7067
11.7067 0.0000 11.7067
11.7067 11.7067 0.0000
Cs K Li
23 6 1
direct
0.0000 0.0000 0.0000
0.0000 0.0000 0.5000
0.0000 0.5000 0.0000
0.0000 0.5000 0.5000
0.1311 0.1311 0.1311
0.1311 0.1311 0.6066
0.1311 0.6066 0.1311
0.1667 0.6111 0.6111
0.3889 0.3889 0.3889
0.3889 0.3889 0.8333
0.3889 0.8333 0.3889
0.3934 0.8689 0.8689
0.5000 0.0000 0.0000
0.5000 0.0000 0.5000
0.5000 0.5000 0.0000
0.6066 0.1311 0.1311
0.6111 0.1667 0.6111
0.6111 0.6111 0.1667
0.6111 0.6111 0.6111
0.8333 0.3889 0.3889
0.8689 0.3934 0.8689
0.8689 0.8689 0.3934
0.8689 0.8689 0.8689
0.2398 0.2398 0.7602
0.2398 0.7602 0.2398
0.2398 0.7602 0.7602
0.7602 0.2398 0.2398
0.7602 0.2398 0.7602
0.7602 0.7602 0.2398
0.5000 0.5000 0.5000
```

=====

Record 2
# CsKNa2Li12Si4O16
Computed X-ray powder pattern, copper Kα. Input: a crystal structure in Alexandria, relaxed with GGA-PBE.
Peak positions follow from Bragg's law for the DFT cell and can differ from measured ones.

Peak list (10 most intense, 2θ from 10° to 80°, by intensity)
- d 2.381, intensity 100
- d 3.948, intensity 91
- d 2.497, intensity 64
- d 3.531, intensity 44
- d 5.584, intensity 40
- d 1.418, intensity 32
- d 2.792, intensity 30
- d 1.766, intensity 27
- d 1.549, intensity 22
- d 1.354, intensity 21

Crystal structure
```
CsKNa2Li12Si4O16
1.0
-5.5836 5.5836 3.2242
5.5836 -5.5836 3.2242
5.5836 5.5836 -3.2242
Cs K Na Li Si O
1 1 2 12 4 16
direct
0.0000 0.0000 0.0000
0.5000 0.5000 0.0000
0.2500 0.7500 0.5000
0.7500 0.2500 0.5000
0.0178 0.3718 0.8711
0.0739 0.7107 0.7846
0.1467 0.0178 0.6460
0.2893 0.0739 0.3632
0.3718 0.5008 0.3540
0.4992 0.8533 0.8711
0.5008 0.1467 0.1289
0.6282 0.4992 0.6460
0.7107 0.9261 0.6368
0.8533 0.9822 0.3540
0.9261 0.2893 0.2154
0.9822 0.6282 0.1289
0.2148 0.4214 0.6363
0.4214 0.7852 0.2066
0.5786 0.2148 0.7934
0.7852 0.5786 0.3637
0.0796 0.1912 0.7009
0.1002 0.3280 0.4281
0.1618 0.5609 0.7226
0.1912 0.4903 0.1116
0.3280 0.8998 0.2278
0.3787 0.0796 0.8884
0.4391 0.1618 0.6009
0.4903 0.3787 0.2991
0.5097 0.6213 0.7009
0.5609 0.8382 0.3991
0.6213 0.9204 0.1116
0.6720 0.1002 0.7722
0.8088 0.5097 0.8884
0.8382 0.4391 0.2774
0.8998 0.6720 0.5719
0.9204 0.8088 0.2991
```

=====

Record 3
# CsKLiP
Computed X-ray powder pattern, copper Kα. Input: a crystal structure in Alexandria, relaxed with GGA-PBE.
Peak positions follow from Bragg's law for the DFT cell and can differ from measured ones.

Peak list (10 most intense, 2θ from 10° to 80°, by intensity)
- d 4.010, intensity 100
- d 3.131, intensity 72
- d 8.185, intensity 62
- d 3.389, intensity 59
- d 2.347, intensity 45
- d 2.656, intensity 39
- d 3.859, intensity 30
- d 4.093, intensity 30
- d 2.036, intensity 26
- d 2.450, intensity 26

Crystal structure
```
CsKLiP
1.0
2.3470 1.3550 8.1852
-2.3470 1.3550 8.1852
0.0000 -2.7100 8.1852
Cs K Li P
1 1 1 1
direct
0.0000 0.0000 0.0000
0.1649 0.1649 0.1649
0.4260 0.4260 0.4260
0.7585 0.7585 0.7585
```

=====

Q: Number 2 is which compound?
A: CsKNa2Li12Si4O16